Entry 1:
The following is a theoretical PXRD pattern of Na2ZrPbCl8. It was derived from a structure optimized by DFT (PBE), using Cu Ka.

Cell and atoms:
Unit cell a=6.432 b=8.449 c=6.631 alpha=90.00 beta=92.76 gamma=90.00
Space group P2/m (No. 10)
Asymmetric unit:
Na (0.000, 0.246, 0.000)
Zr (0.500, 0.500, 0.500)
Pb (0.500, 0.000, 0.500)
Cl (0.212, 0.000, 0.174)
Cl (0.243, 0.500, 0.207)
Cl (0.295, 0.288, 0.665)

Most intense lines, 10 to 80 degrees two-theta, by angle:
2θ = 13.4°, rel. 90, hkl 0 0 1
2θ = 13.8°, rel. 84, hkl 1 0 0
2θ = 18.8°, rel. 90, hkl 1 0 -1
2θ = 19.7°, rel. 69, hkl 1 0 1
2θ = 25.2°, rel. 48, hkl 1 2 0
2θ = 28.3°, rel. 100, hkl 1 2 -1
2θ = 31.0°, rel. 36, hkl 1 0 2
2θ = 37.2°, rel. 47, hkl 2 2 -1
2θ = 37.7°, rel. 36, hkl 1 2 2
2θ = 46.4°, rel. 39, hkl 0 2 3

***

Entry 2:
The following is a theoretical PXRD pattern of Na3RuCl6. It was derived from a structure optimized by DFT (PBE), using Cu Ka.

Cell and atoms:
Unit cell a=11.2902 b=11.2902 c=13.6008 alpha=90.00 beta=90.00 gamma=120.00
Space group R-3 (No. 148, hexagonal axes)
Asymmetric unit:
Na (0.0552, 0.2702, 0.2005)
Ru (0.0000, 0.0000, 0.0000)
Ru (0.0000, 0.0000, 0.5000)
Cl (0.0194, 0.1847, 0.4015)
Cl (0.0374, 0.1869, 0.8968)

Most intense lines, 10 to 80 degrees two-theta, by angle:
2θ = 15.7°, rel. 77, hkl 1 1 0
2θ = 15.9°, rel. 100, hkl 0 1 2
2θ = 22.4°, rel. 57, hkl 2 0 2
2θ = 27.5°, rel. 42, hkl 1 2 2
2θ = 35.6°, rel. 53, hkl 3 1 2
2θ = 35.9°, rel. 81, hkl 2 1 4
2θ = 42.4°, rel. 50, hkl 1 4 0
2θ = 42.6°, rel. 21, hkl 1 3 4
2θ = 48.9°, rel. 20, hkl 0 3 6
2θ = 51.7°, rel. 23, hkl 4 -2 6

***

Entry 3:
The following is a theoretical PXRD pattern of La2Ge2H4Rh. It was derived from a structure optimized by DFT (PBE), using Cu Ka.

Cell and atoms:
Unit cell a=6.020 b=6.020 c=7.553 alpha=90.00 beta=90.00 gamma=90.00
Space group I4/mmm (No. 139)
Asymmetric unit:
La (0.000, 0.500, 0.250)
Ge (0.000, 0.000, 0.162)
H (0.200, 0.200, 0.500)
Rh (0.000, 0.000, 0.500)

Most intense lines, 10 to 80 degrees two-theta, by angle:
2θ = 23.6°, rel. 17, hkl 0 0 2
2θ = 29.7°, rel. 100, hkl 2 0 0
2θ = 31.7°, rel. 59, hkl 1 1 2
2θ = 38.2°, rel. 21, hkl 2 0 2
2θ = 38.8°, rel. 23, hkl 1 0 3
2θ = 42.5°, rel. 39, hkl 2 2 0
2θ = 49.6°, rel. 22, hkl 2 1 3
2θ = 53.9°, rel. 26, hkl 3 1 2
2θ = 61.6°, rel. 13, hkl 4 0 0
2θ = 69.9°, rel. 17, hkl 4 2 0

***

Entry 4:
The following is a theoretical PXRD pattern of Ba3Si2AgO8. It was derived from a structure optimized by DFT (PBE), using Cu Ka.

Cell and atoms:
Unit cell a=5.8138 b=5.8138 c=7.5405 alpha=90.00 beta=90.00 gamma=120.00
Space group P-3m1 (No. 164)
Asymmetric unit:
Ba (0.0000, 0.0000, 0.0000)
Ba (0.3333, 0.6667, 0.6675)
Si (0.3333, 0.6667, 0.2195)
Ag (0.0000, 0.0000, 0.5000)
O (0.1789, 0.3577, 0.2963)
O (0.3333, 0.6667, 0.0042)

Most intense lines, 10 to 80 degrees two-theta, by angle:
2θ = 21.2°, rel. 24, hkl 1 0 1
2θ = 29.6°, rel. 94, hkl 0 1 2
2θ = 30.8°, rel. 100, hkl 1 1 0
2θ = 37.7°, rel. 21, hkl 0 2 1
2θ = 43.2°, rel. 47, hkl 2 0 2
2θ = 51.8°, rel. 16, hkl 1 0 4
2θ = 54.0°, rel. 33, hkl 1 2 2
2θ = 54.7°, rel. 19, hkl 3 0 0
2θ = 64.1°, rel. 16, hkl 2 2 0
2θ = 72.1°, rel. 15, hkl 3 1 2

***

Entry 5:
The following is a theoretical PXRD pattern of Pa2TeAs3. It was derived from a structure optimized by DFT (PBE), using Cu Ka.

Cell and atoms:
Unit cell a=4.115 b=4.115 c=8.281 alpha=90.00 beta=90.00 gamma=90.00
Space group P-4m2 (No. 115)
Asymmetric unit:
Pa (0.000, 0.500, 0.209)
Te (0.000, 0.000, 0.500)
As (0.000, 0.500, 0.858)
As (0.500, 0.500, 0.500)

Most intense lines, 10 to 80 degrees two-theta, by angle:
2θ = 24.1°, rel. 80, hkl 1 0 1
2θ = 30.7°, rel. 39, hkl 1 1 0
2θ = 32.4°, rel. 41, hkl 0 0 3
2θ = 32.6°, rel. 65, hkl 1 1 1
2θ = 37.8°, rel. 100, hkl 1 1 2
2θ = 39.3°, rel. 35, hkl 1 0 3
2θ = 44.0°, rel. 54, hkl 2 0 0
2θ = 50.8°, rel. 23, hkl 2 1 1
2θ = 55.7°, rel. 36, hkl 2 0 3
2θ = 76.8°, rel. 26, hkl 3 1 2

***

Entry 6:
The following is a theoretical PXRD pattern of Tb5Cd4Ir. It was derived from a structure optimized by DFT (PBE), using Cu Ka.

Cell and atoms:
Unit cell a=3.629 b=3.629 c=19.121 alpha=90.00 beta=90.00 gamma=90.00
Space group P4/mmm (No. 123)
Asymmetric unit:
Tb (0.000, 0.000, 0.000)
Tb (0.000, 0.000, 0.206)
Tb (0.000, 0.000, 0.417)
Cd (0.500, 0.500, 0.103)
Cd (0.500, 0.500, 0.307)
Ir (0.500, 0.500, 0.500)

Most intense lines, 10 to 80 degrees two-theta, by angle:
2θ = 34.1°, rel. 100, hkl 1 0 5
2θ = 35.0°, rel. 50, hkl 1 1 0
2θ = 37.6°, rel. 3, hkl 1 0 6
2θ = 47.6°, rel. 8, hkl 0 0 10
2θ = 50.3°, rel. 18, hkl 2 0 0
2θ = 60.4°, rel. 15, hkl 1 1 10
2θ = 62.1°, rel. 35, hkl 2 1 5
2θ = 71.7°, rel. 9, hkl 2 0 10
2θ = 73.9°, rel. 6, hkl 2 2 0
2θ = 79.7°, rel. 4, hkl 1 0 15

***

Entry 7:
The following is a theoretical PXRD pattern of Sc4V. It was derived from a structure optimized by DFT (PBE), using Cu Ka.

Cell and atoms:
Unit cell a=4.950 b=4.950 c=4.950 alpha=90.00 beta=90.00 gamma=90.00
Space group Pm-3m (No. 221)
Asymmetric unit:
Sc (0.000, 0.000, 0.000)
Sc (0.000, 0.500, 0.500)
V (0.500, 0.500, 0.500)

Most intense lines, 10 to 80 degrees two-theta, by angle:
2θ = 17.9°, rel. 31, hkl 1 0 0
2θ = 25.4°, rel. 26, hkl 1 1 0
2θ = 31.3°, rel. 65, hkl 1 1 1
2θ = 36.3°, rel. 100, hkl 2 0 0
2θ = 40.8°, rel. 14, hkl 2 1 0
2θ = 44.9°, rel. 10, hkl 2 1 1
2θ = 52.3°, rel. 63, hkl 2 2 0
2θ = 62.2°, rel. 22, hkl 3 1 1
2θ = 65.3°, rel. 20, hkl 2 2 2
2θ = 77.1°, rel. 9, hkl 4 0 0

***

Entry 8:
The following is a theoretical PXRD pattern of Pm7Ho2Er3. It was derived from a structure optimized by DFT (PBE), using Cu Ka.

Cell and atoms:
Unit cell a=5.765 b=38.022 c=3.620 alpha=90.00 beta=90.00 gamma=90.00
Space group Cmmm (No. 65)
Asymmetric unit:
Pm (0.000, 0.000, 0.000)
Pm (0.000, 0.073, 0.500)
Pm (0.000, 0.232, 0.000)
Pm (0.000, 0.407, 0.000)
Ho (0.000, 0.149, 0.000)
Er (0.000, 0.315, 0.500)
Er (0.000, 0.500, 0.500)

Most intense lines, 10 to 80 degrees two-theta, by angle:
2θ = 28.2°, rel. 20, hkl 0 12 0
2θ = 30.1°, rel. 40, hkl 1 11 0
2θ = 31.0°, rel. 84, hkl 2 0 0
2θ = 31.5°, rel. 100, hkl 1 5 1
2θ = 33.6°, rel. 36, hkl 1 7 1
2θ = 34.4°, rel. 28, hkl 1 13 0
2θ = 44.5°, rel. 19, hkl 2 8 1
2θ = 55.5°, rel. 20, hkl 3 5 1
2θ = 56.2°, rel. 16, hkl 2 16 1
2θ = 60.4°, rel. 18, hkl 2 0 2

***

Entry 9:
The following is a theoretical PXRD pattern of Sm6InHg2. It was derived from a structure optimized by DFT (PBE), using Cu Ka.

Cell and atoms:
Unit cell a=5.251 b=12.998 c=15.747 alpha=90.00 beta=90.00 gamma=90.00
Space group Fmmm (No. 69)
Asymmetric unit:
Sm (0.000, 0.152, 0.169)
Sm (0.000, 0.158, 0.500)
In (0.000, 0.000, 0.000)
Hg (0.000, 0.000, 0.338)

Most intense lines, 10 to 80 degrees two-theta, by angle:
2θ = 31.7°, rel. 100, hkl 1 3 3
2θ = 34.2°, rel. 43, hkl 2 0 0
2θ = 41.7°, rel. 11, hkl 0 6 0
2θ = 42.4°, rel. 4, hkl 1 5 3
2θ = 49.1°, rel. 15, hkl 2 0 6
2θ = 55.0°, rel. 19, hkl 2 6 0
2θ = 59.6°, rel. 33, hkl 3 3 3
2θ = 66.3°, rel. 11, hkl 2 6 6
2θ = 69.9°, rel. 8, hkl 1 9 3
2θ = 71.9°, rel. 5, hkl 4 0 0

***

Entry 10:
The following is a theoretical PXRD pattern of Pa2MnRh9. It was derived from a structure optimized by DFT (PBE), using Cu Ka.

Cell and atoms:
Unit cell a=4.009 b=4.009 c=11.830 alpha=90.00 beta=90.00 gamma=90.00
Space group P4/mmm (No. 123)
Asymmetric unit:
Pa (0.000, 0.000, 0.174)
Mn (0.000, 0.000, 0.500)
Rh (0.000, 0.500, 0.000)
Rh (0.000, 0.500, 0.345)
Rh (0.500, 0.500, 0.173)
Rh (0.500, 0.500, 0.500)

Most intense lines, 10 to 80 degrees two-theta, by angle:
2θ = 22.2°, rel. 3, hkl 1 0 0
2θ = 23.4°, rel. 4, hkl 1 0 1
2θ = 26.9°, rel. 5, hkl 1 0 2
2θ = 35.1°, rel. 5, hkl 1 1 2
2θ = 39.1°, rel. 100, hkl 1 1 3
2θ = 45.2°, rel. 34, hkl 2 0 0
2θ = 46.0°, rel. 15, hkl 0 0 6
2θ = 65.9°, rel. 11, hkl 2 2 0
2θ = 66.5°, rel. 19, hkl 2 0 6
2θ = 79.4°, rel. 25, hkl 3 1 3

***

Entry 11:
The following is a theoretical PXRD pattern of RbAsH2IrSe. It was derived from a structure optimized by DFT (PBE), using Cu Ka.

Cell and atoms:
Unit cell a=12.114 b=4.007 c=6.025 alpha=90.00 beta=104.95 gamma=90.00
Space group Cm (No. 8)
Asymmetric unit:
Rb (0.000, 0.000, 0.000)
As (0.221, 0.500, 0.408)
H (0.086, 0.500, 0.327)
H (0.369, 0.000, 0.634)
Ir (0.242, 0.000, 0.655)
Se (0.217, 0.500, 0.894)

Most intense lines, 10 to 80 degrees two-theta, by angle:
2θ = 15.2°, rel. 100, hkl 2 0 0
2θ = 18.5°, rel. 41, hkl 2 0 -1
2θ = 24.2°, rel. 25, hkl 2 0 1
2θ = 29.2°, rel. 30, hkl 1 1 1
2θ = 30.6°, rel. 35, hkl 4 0 0
2θ = 32.9°, rel. 24, hkl 3 1 -1
2θ = 37.3°, rel. 43, hkl 1 1 -2
2θ = 48.8°, rel. 16, hkl 5 1 -2
2θ = 49.2°, rel. 22, hkl 3 1 2
2θ = 55.6°, rel. 15, hkl 4 2 0

***

Entry 12:
The following is a theoretical PXRD pattern of Na2TlPCO7. It was derived from a structure optimized by DFT (PBE), using Cu Ka.

Cell and atoms:
Unit cell a=5.329 b=6.944 c=9.327 alpha=90.00 beta=91.37 gamma=90.00
Space group P2_1/m (No. 11)
Asymmetric unit:
Na (0.235, 0.001, 0.289)
Tl (0.226, 0.250, 0.874)
P (0.273, 0.750, 0.917)
C (0.265, 0.250, 0.579)
O (0.042, 0.250, 0.635)
O (0.167, 0.572, 0.837)
O (0.197, 0.750, 0.078)
O (0.303, 0.250, 0.446)
O (0.430, 0.250, 0.085)
O (0.459, 0.250, 0.673)

Most intense lines, 10 to 80 degrees two-theta, by angle:
2θ = 15.9°, rel. 100, hkl 0 1 1
2θ = 19.4°, rel. 37, hkl 1 0 1
2θ = 21.0°, rel. 87, hkl 1 1 0
2θ = 23.0°, rel. 50, hkl 0 1 2
2θ = 25.1°, rel. 61, hkl 1 0 -2
2θ = 25.7°, rel. 100, hkl 0 2 0
2θ = 32.1°, rel. 37, hkl 1 2 -1
2θ = 32.4°, rel. 34, hkl 1 2 1
2θ = 33.7°, rel. 42, hkl 2 0 0
2θ = 36.2°, rel. 42, hkl 1 1 3